Calculated XRD peak list
Compound: Cs2KPdF6
Radiation: CuKα
Structure: a cell relaxed with PBE
Peak positions follow from Bragg's law for the DFT cell and can differ from measured ones.

Largest 6 diffraction maxima, most intense first, 15 to 90 degrees two-theta:
3.298 Å, 2θ = 27.04°, rel. 100
1.904 Å, 2θ = 47.77°, rel. 39
2.332 Å, 2θ = 38.61°, rel. 36
1.649 Å, 2θ = 55.75°, rel. 22
1.246 Å, 2θ = 76.41°, rel. 22
1.475 Å, 2θ = 63.03°, rel. 20

Structure:
Lattice parameters (Å, degrees): 6.596 6.596 6.596 60.00 60.00 60.00
Sites, in units of the cell vectors:
Cs: 0.250 0.250 0.250
Cs: 0.750 0.750 0.750
K: 0.000 0.000 0.000
Pd: 0.500 0.500 0.500
F: 0.278 0.278 0.722
F: 0.278 0.722 0.278
F: 0.278 0.722 0.722
F: 0.722 0.278 0.278
F: 0.722 0.278 0.722
F: 0.722 0.722 0.278